Record 1
Structure and calculated XRD peak list of CaNb2Te4Cl10O (a DFT-relaxed cell (PBE, the Materials Project); Cu Kα, 1.54184 Å).
Peak positions follow from Bragg's law for the DFT cell and can differ from measured ones.

Cell and atoms:
```
data_CaNb2Te4Cl10O
_symmetry_space_group_name_H-M 'P 1'
_symmetry_Int_Tables_number 1
_symmetry_space_group_name_Hall 'P 1'
_cell_length_a 7.149
_cell_length_b 8.976
_cell_length_c 9.768
_cell_angle_alpha 94.03
_cell_angle_beta 93.11
_cell_angle_gamma 106.53
loop_
_atom_site_label
_atom_site_type_symbol
_atom_site_fract_x
_atom_site_fract_y
_atom_site_fract_z
_atom_site_occupancy
Ca1 Ca 0.000 0.000 0.000 1
Nb1 Nb 0.403 0.186 0.800 1
Nb2 Nb 0.434 0.907 0.080 1
Te1 Te 0.093 0.638 0.608 1
Te2 Te 0.703 0.460 0.300 1
Te3 Te 0.815 0.737 0.464 1
Te4 Te 0.984 0.363 0.444 1
Cl1 Cl 0.048 0.013 0.722 1
Cl2 Cl 0.117 0.729 0.988 1
Cl3 Cl 0.220 0.307 0.961 1
Cl4 Cl 0.259 0.042 0.234 1
Cl5 Cl 0.364 0.373 0.640 1
Cl6 Cl 0.449 0.728 0.253 1
Cl7 Cl 0.498 0.032 0.632 1
Cl8 Cl 0.627 0.794 0.925 1
Cl9 Cl 0.712 0.346 0.877 1
Cl10 Cl 0.755 0.092 0.180 1
O1 O 0.403 0.047 0.943 1
```

Peak list (6 most intense, 2θ = 5–70°, by intensity)
| 2theta | d_spacing | I_rel |
| --- | --- | --- |
| 15.26 | 5.805 | 100 |
| 14.38 | 6.159 | 65 |
| 20.06 | 4.427 | 48 |
| 21.61 | 4.113 | 45 |
| 39.73 | 2.269 | 41 |
| 13.15 | 6.733 | 39 |

Record 2
Structure and calculated XRD peak list of BaZnSn (a DFT-relaxed cell (PBE, the Materials Project); Cu Kα, 1.54184 Å).
Peak positions follow from Bragg's law for the DFT cell and can differ from measured ones.

Cell and atoms:
```
data_BaZnSn
_symmetry_space_group_name_H-M 'P 63/m m c'
_symmetry_Int_Tables_number 194
_symmetry_space_group_name_Hall '-P 6c 2c'
_cell_length_a 4.7460
_cell_length_b 4.7460
_cell_length_c 10.0011
_cell_angle_alpha 90.00
_cell_angle_beta 90.00
_cell_angle_gamma 120.00
loop_
_atom_site_label
_atom_site_type_symbol
_atom_site_fract_x
_atom_site_fract_y
_atom_site_fract_z
_atom_site_occupancy
Ba1 Ba 0.0000 0.0000 0.0000 1
Zn1 Zn 0.3333 0.6667 0.2500 1
Sn1 Sn 0.3333 0.6667 0.7500 1
```

Peak list (6 most intense, 2θ = 5–70°, by intensity)
| 2theta | d_spacing | I_rel |
| --- | --- | --- |
| 28.10 | 3.175 | 100 |
| 37.92 | 2.373 | 46 |
| 53.22 | 1.721 | 34 |
| 47.85 | 1.901 | 23 |
| 62.62 | 1.484 | 21 |
| 35.92 | 2.500 | 18 |

Record 3
Structure and calculated XRD peak list of Li3Sn11Pd4 (a DFT-relaxed cell (PBE, the Materials Project); Cu Kα, 1.54184 Å).
Peak positions follow from Bragg's law for the DFT cell and can differ from measured ones.

Cell and atoms:
```
data_Li3Sn11Pd4
_symmetry_space_group_name_H-M 'A m m 2'
_symmetry_Int_Tables_number 38
_symmetry_space_group_name_Hall 'A 2 -2'
_cell_length_a 8.724
_cell_length_b 9.539
_cell_length_c 9.394
_cell_angle_alpha 90.00
_cell_angle_beta 90.00
_cell_angle_gamma 90.00
loop_
_atom_site_label
_atom_site_type_symbol
_atom_site_fract_x
_atom_site_fract_y
_atom_site_fract_z
_atom_site_occupancy
Li1 Li 0.000 0.000 0.000 1
Li2 Li 0.500 0.250 0.419 1
Sn1 Sn 0.000 0.000 0.336 1
Sn2 Sn 0.000 0.167 0.671 1
Sn3 Sn 0.317 0.000 0.831 1
Sn4 Sn 0.321 0.157 0.168 1
Sn5 Sn 0.323 0.000 0.511 1
Pd1 Pd 0.183 0.249 0.420 1
```

Peak list (6 most intense, 2θ = 5–70°, by intensity)
| 2theta | d_spacing | I_rel |
| --- | --- | --- |
| 36.23 | 2.480 | 100 |
| 41.12 | 2.195 | 81 |
| 31.42 | 2.847 | 67 |
| 36.56 | 2.458 | 59 |
| 31.78 | 2.816 | 53 |
| 42.51 | 2.126 | 51 |

Record 4
Structure and calculated XRD peak list of TbTa3 (a DFT-relaxed cell (PBE, the Materials Project); Cu Kα, 1.54184 Å).
Peak positions follow from Bragg's law for the DFT cell and can differ from measured ones.

Cell and atoms:
```
data_TbTa3
_symmetry_space_group_name_H-M 'F m -3 m'
_symmetry_Int_Tables_number 225
_symmetry_space_group_name_Hall '-F 4 2 3'
_cell_length_a 6.884
_cell_length_b 6.884
_cell_length_c 6.884
_cell_angle_alpha 90.00
_cell_angle_beta 90.00
_cell_angle_gamma 90.00
loop_
_atom_site_label
_atom_site_type_symbol
_atom_site_fract_x
_atom_site_fract_y
_atom_site_fract_z
_atom_site_occupancy
Tb1 Tb 0.000 0.000 0.000 1
Ta1 Ta 0.000 0.000 0.500 1
Ta2 Ta 0.250 0.250 0.250 1
```

Peak list (3 most intense, 2θ = 5–70°, by intensity)
| 2theta | d_spacing | I_rel |
| --- | --- | --- |
| 36.93 | 2.434 | 100 |
| 66.55 | 1.405 | 36 |
| 53.23 | 1.721 | 18 |

Record 5
Structure and calculated XRD peak list of MgCO3 (a DFT-relaxed cell (PBE, the Materials Project); Cu Kα, 1.54184 Å).
Peak positions follow from Bragg's law for the DFT cell and can differ from measured ones.

Cell and atoms:
```
data_MgCO3
_symmetry_space_group_name_H-M 'C 1 2/m 1'
_symmetry_Int_Tables_number 12
_symmetry_space_group_name_Hall '-C 2y'
_cell_length_a 9.525
_cell_length_b 7.142
_cell_length_c 8.243
_cell_angle_alpha 90.00
_cell_angle_beta 102.90
_cell_angle_gamma 90.00
loop_
_atom_site_label
_atom_site_type_symbol
_atom_site_fract_x
_atom_site_fract_y
_atom_site_fract_z
_atom_site_occupancy
Mg1 Mg 0.000 0.230 0.000 1
Mg2 Mg 0.027 0.500 0.700 1
Mg3 Mg 0.158 0.000 0.346 1
C1 C 0.135 0.176 0.701 1
C2 C 0.249 0.500 0.043 1
O1 O 0.001 0.200 0.741 1
O2 O 0.114 0.500 0.946 1
O3 O 0.138 0.000 0.605 1
O4 O 0.141 0.000 0.035 1
O5 O 0.164 0.322 0.612 1
O6 O 0.249 0.161 0.847 1
```

Peak list (6 most intense, 2θ = 5–70°, by intensity)
| 2theta | d_spacing | I_rel |
| --- | --- | --- |
| 33.46 | 2.678 | 100 |
| 48.23 | 1.887 | 66 |
| 45.87 | 1.978 | 55 |
| 44.18 | 2.050 | 51 |
| 19.84 | 4.476 | 51 |
| 35.02 | 2.562 | 46 |

Record 6
Structure and calculated XRD peak list of NaMg14CO16 (a DFT-relaxed cell (PBE, the Materials Project); Cu Kα, 1.54184 Å).
Peak positions follow from Bragg's law for the DFT cell and can differ from measured ones.

Cell and atoms:
```
data_NaMg14CO16
_symmetry_space_group_name_H-M 'P 4/m m m'
_symmetry_Int_Tables_number 123
_symmetry_space_group_name_Hall '-P 4 2'
_cell_length_a 8.500
_cell_length_b 8.500
_cell_length_c 4.269
_cell_angle_alpha 90.00
_cell_angle_beta 90.00
_cell_angle_gamma 90.00
loop_
_atom_site_label
_atom_site_type_symbol
_atom_site_fract_x
_atom_site_fract_y
_atom_site_fract_z
_atom_site_occupancy
Na1 Na 0.000 0.000 0.000 1
Mg1 Mg 0.000 0.246 0.500 1
Mg2 Mg 0.000 0.500 0.000 1
Mg3 Mg 0.248 0.248 0.000 1
Mg4 Mg 0.253 0.500 0.500 1
C1 C 0.500 0.500 0.000 1
O1 O 0.000 0.000 0.500 1
O2 O 0.000 0.268 0.000 1
O3 O 0.000 0.500 0.500 1
O4 O 0.252 0.252 0.500 1
O5 O 0.272 0.500 0.000 1
O6 O 0.500 0.500 0.500 1
```

Peak list (6 most intense, 2θ = 5–70°, by intensity)
| 2theta | d_spacing | I_rel |
| --- | --- | --- |
| 42.54 | 2.125 | 100 |
| 61.59 | 1.506 | 56 |
| 42.35 | 2.134 | 52 |
| 61.74 | 1.503 | 27 |
| 36.57 | 2.457 | 14 |
| 43.87 | 2.064 | 2 |

Record 7
Structure and calculated XRD peak list of HfMg6BO7 (a DFT-relaxed cell (PBE, the Materials Project); Cu Kα, 1.54184 Å).
Peak positions follow from Bragg's law for the DFT cell and can differ from measured ones.

Cell and atoms:
```
data_HfMg6BO7
_symmetry_space_group_name_H-M 'P 4 m m'
_symmetry_Int_Tables_number 99
_symmetry_space_group_name_Hall 'P 4 -2'
_cell_length_a 4.176
_cell_length_b 4.176
_cell_length_c 10.250
_cell_angle_alpha 90.00
_cell_angle_beta 90.00
_cell_angle_gamma 90.00
loop_
_atom_site_label
_atom_site_type_symbol
_atom_site_fract_x
_atom_site_fract_y
_atom_site_fract_z
_atom_site_occupancy
Hf1 Hf 0.000 0.000 0.000 1
Mg1 Mg 0.000 0.500 0.267 1
Mg2 Mg 0.000 0.500 0.689 1
Mg3 Mg 0.500 0.500 0.050 1
Mg4 Mg 0.500 0.500 0.473 1
B1 B 0.000 0.000 0.516 1
O1 O 0.000 0.000 0.217 1
O2 O 0.000 0.000 0.807 1
O3 O 0.000 0.500 0.027 1
O4 O 0.000 0.500 0.466 1
O5 O 0.500 0.500 0.249 1
```

Peak list (6 most intense, 2θ = 5–70°, by intensity)
| 2theta | d_spacing | I_rel |
| --- | --- | --- |
| 8.63 | 10.250 | 100 |
| 22.99 | 3.868 | 62 |
| 35.05 | 2.560 | 48 |
| 43.33 | 2.088 | 36 |
| 31.53 | 2.838 | 35 |
| 49.58 | 1.839 | 28 |